Record 1
Calculated powder XRD pattern of LaCdAu for Cu Kα X-rays, from DFT lattice parameters and positions (PBE).
Peak positions follow from Bragg's law for the DFT cell and can differ from measured ones.

Top 10 peaks for 2θ = 10–90°, by intensity:
d [Å]	Position (°2θ)	I (rel.)	index
2.671	33.5	100	2 0 1
2.897	30.9	68	1 1 1
2.219	40.7	46	2 1 1
2.301	39.2	44	3 0 0
1.483	62.7	33	3 2 1
2.609	34.4	32	2 1 0
2.110	42.9	27	0 0 2
1.555	59.4	26	3 0 2
3.985	22.3	22	1 1 0
1.640	56.1	15	2 1 2

Unit cell a=7.9700 b=7.9700 c=4.2195 alpha=90.00 beta=90.00 gamma=120.00
Space group P-62m (No. 189)
Asymmetric unit:
La 0.0000 0.4089 0.0000 x3
Cd 0.0000 0.7504 0.5000 x3
Au 0.0000 0.0000 0.0000 x1
Au 0.3333 0.6667 0.5000 x2

Record 2
Calculated powder XRD pattern of Ti6Al16Ru7 for Cu Kα X-rays, from DFT lattice parameters and positions (PBE).
Peak positions follow from Bragg's law for the DFT cell and can differ from measured ones.

Top 10 peaks for 2θ = 10–90°, by intensity:
d [Å]	Position (°2θ)	I (rel.)	index
2.153	42.0	100	4 4 0
3.516	25.3	37	2 2 2
3.045	29.3	32	4 0 0
1.836	49.6	29	6 2 2
1.243	76.6	20	8 4 4
2.344	38.4	16	3 3 3
2.486	36.1	12	4 2 2
1.523	60.8	12	8 0 0
1.172	82.3	12	6 6 6
1.362	69.0	11	8 4 0

Unit cell a=12.181 b=12.181 c=12.181 alpha=90.00 beta=90.00 gamma=90.00
Space group Fm-3m (No. 225)
Asymmetric unit:
Ti 0.000 0.000 0.208 x24
Al 0.120 0.120 0.380 x32
Al 0.158 0.158 0.158 x32
Ru 0.000 0.000 0.500 x4
Ru 0.000 0.250 0.250 x24

Record 3
Calculated powder XRD pattern of La2Ni2I for Cu Kα X-rays, from DFT lattice parameters and positions (PBE).
Peak positions follow from Bragg's law for the DFT cell and can differ from measured ones.

Top 10 peaks for 2θ = 10–90°, by intensity:
d [Å]	Position (°2θ)	I (rel.)	index
2.803	31.9	100	1 0 2
2.081	43.5	40	1 1 0
3.605	24.7	21	1 0 0
1.671	54.9	21	2 0 2
2.293	39.3	18	1 0 3
1.303	72.5	18	2 1 2
3.342	26.7	17	1 0 1
1.521	60.9	17	1 1 4
1.201	79.8	11	3 0 0
1.599	57.7	10	1 0 5

Unit cell a=4.1626 b=4.1626 c=8.9179 alpha=90.00 beta=90.00 gamma=120.00
Space group P-6m2 (No. 187)
Asymmetric unit:
La 0.0000 0.0000 0.2105 x2
Ni 0.3333 0.6667 0.0000 x1
Ni 0.6667 0.3333 0.0000 x1
I 0.6667 0.3333 0.5000 x1

Record 4
Calculated powder XRD pattern of InSbSe3 for Cu Kα X-rays, from DFT lattice parameters and positions (PBE).
Peak positions follow from Bragg's law for the DFT cell and can differ from measured ones.

Top 10 peaks for 2θ = 10–90°, by intensity:
d [Å]	Position (°2θ)	I (rel.)	index
2.884	31.0	100	2 0 4
3.087	28.9	75	2 1 1
2.042	44.4	47	0 2 0
2.322	38.8	43	0 1 5
5.762	15.4	31	1 0 2
7.052	12.6	27	0 0 2
3.164	28.2	26	2 1 0
1.666	55.1	25	6 0 0
1.941	46.8	19	4 1 3
3.424	26.0	19	2 0 3

Unit cell a=9.994 b=4.087 c=14.104 alpha=90.00 beta=90.00 gamma=90.00
Space group Pnma (No. 62)
Asymmetric unit:
In 0.148 0.250 0.047 x4
Sb 0.028 0.250 0.637 x4
Se 0.003 0.250 0.882 x4
Se 0.161 0.250 0.474 x4
Se 0.188 0.750 0.703 x4

Record 5
Calculated powder XRD pattern of Pr11O20 for Cu Kα X-rays, from DFT lattice parameters and positions (PBE).
Peak positions follow from Bragg's law for the DFT cell and can differ from measured ones.

Top 10 peaks for 2θ = 10–90°, by intensity:
d [Å]	Position (°2θ)	I (rel.)	index
3.298	27.0	100	2 0 -1
1.683	54.5	13	3 0 4
2.927	30.5	11	-1 1 3
2.880	31.1	10	1 2 -1
1.754	52.1	10	-3 1 4
1.733	52.8	10	3 2 -2
2.769	32.3	10	2 -1 2
2.050	44.2	9	2 1 -4
2.056	44.0	9	0 3 2
2.013	45.0	8	-3 2 1

Unit cell a=6.897 b=7.036 c=10.758 alpha=94.58 beta=92.55 gamma=98.72
Space group P-1 (No. 2)
Asymmetric unit:
Pr 0.000 0.000 0.000 x1
Pr 0.127 0.553 0.174 x2
Pr 0.183 0.112 0.367 x2
Pr 0.272 0.637 0.523 x2
Pr 0.366 0.144 0.723 x2
Pr 0.471 0.733 0.922 x2
O 0.035 0.159 0.798 x2
O 0.041 0.426 0.371 x2
O 0.125 0.662 0.962 x2
O 0.150 0.945 0.564 x2
O 0.202 0.225 0.158 x2
O 0.293 0.798 0.333 x2
O 0.333 0.034 0.932 x2
O 0.371 0.325 0.539 x2
O 0.460 0.821 0.703 x2
O 0.468 0.594 0.127 x2